[1]
Computed powder diffractogram
Compound: Tl2CrO4
Radiation: λ = 1.5418 Å (Cu Kα)
Structure: a structure optimized by DFT (GGA+U)

Atomic structure:
```
data_Tl2CrO4
_cell_length_a 13.027
_cell_length_b 5.921
_cell_length_c 15.014
_cell_angle_alpha 90.00
_cell_angle_beta 113.44
_cell_angle_gamma 90.00
_symmetry_space_group_name_H-M 'C 1 2/m 1'
_symmetry_Int_Tables_number 12
loop_
_symmetry_equiv_pos_as_xyz
'x,y,z'
'-x,-y,-z'
'-x,y,-z'
'x,-y,z'
'x+1/2,y+1/2,z'
'-x+1/2,-y+1/2,-z'
'-x+1/2,y+1/2,-z'
'x+1/2,-y+1/2,z'
loop_
_atom_site_label
_atom_site_fract_x
_atom_site_fract_y
_atom_site_fract_z
Tl1 0.005 0.000 0.132
Tl2 0.078 0.500 0.386
Tl3 0.121 0.000 0.631
Tl4 0.184 0.500 0.114
Cr1 0.141 0.500 0.859
Cr2 0.224 0.000 0.361
O1 0.061 0.500 0.923
O2 0.111 0.266 0.790
O3 0.137 0.500 0.586
O4 0.172 0.000 0.447
O5 0.178 0.232 0.292
O6 0.225 0.000 0.065
```

Peak list (10 most intense, 2θ from 15° to 90°, most intense first)
- 25.87 deg, I 100, hkl 0 0 4
- 27.56 deg, I 94, hkl 3 1 -3
- 29.81 deg, I 77, hkl 3 1 1
- 30.19 deg, I 76, hkl 0 2 0
- 40.17 deg, I 73, hkl 0 2 4
- 25.76 deg, I 67, hkl 3 1 -2
- 33.73 deg, I 37, hkl 3 1 2
- 18.96 deg, I 32, hkl 1 1 1
- 23.27 deg, I 29, hkl 1 1 -3
- 45.18 deg, I 24, hkl 3 1 -7

=====

[2]
Computed powder diffractogram
Compound: Li9Mn2Co5O16
Radiation: λ = 1.5418 Å (Cu Kα)
Structure: a structure optimized by DFT (GGA+U)

Atomic structure:
```
data_Li9Mn2Co5O16
_cell_length_a 5.065
_cell_length_b 5.904
_cell_length_c 10.394
_cell_angle_alpha 75.76
_cell_angle_beta 76.79
_cell_angle_gamma 75.24
_symmetry_space_group_name_H-M 'P 1'
_symmetry_Int_Tables_number 1
loop_
_symmetry_equiv_pos_as_xyz
'x,y,z'
loop_
_atom_site_label
_atom_site_fract_x
_atom_site_fract_y
_atom_site_fract_z
Li1 0.000 0.000 0.000
Li2 0.001 0.637 0.241
Li3 0.007 0.889 0.736
Li4 0.012 0.139 0.240
Li5 0.493 0.328 0.118
Li6 0.982 0.510 0.999
Li7 0.991 0.397 0.735
Li8 0.995 0.264 0.489
Li9 0.997 0.766 0.487
Mn1 0.500 0.196 0.869
Mn2 0.502 0.694 0.868
Co1 0.492 0.453 0.359
Co2 0.496 0.962 0.361
Co3 0.497 0.575 0.615
Co4 0.499 0.825 0.114
Co5 0.501 0.075 0.613
O1 0.258 0.304 0.309
O2 0.264 0.937 0.547
O3 0.266 0.802 0.291
O4 0.269 0.558 0.796
O5 0.272 0.421 0.559
O6 0.279 0.681 0.045
O7 0.280 0.139 0.050
O8 0.284 0.018 0.809
O9 0.715 0.606 0.438
O10 0.715 0.971 0.181
O11 0.716 0.524 0.178
O12 0.720 0.378 0.919
O13 0.720 0.725 0.682
O14 0.732 0.210 0.686
O15 0.733 0.834 0.938
O16 0.736 0.113 0.425
```

Peak list (10 most intense, 2θ from 15° to 90°, most intense first)
- 18.40 deg, I 100, hkl 1 0 0
- 42.32 deg, I 31, hkl 1 -2 1
- 43.93 deg, I 27, hkl 1 0 -4
- 44.52 deg, I 26, hkl 2 2 3
- 35.03 deg, I 16, hkl 0 2 -1
- 63.10 deg, I 15, hkl 1 4 2
- 36.24 deg, I 13, hkl 0 0 4
- 36.59 deg, I 12, hkl 1 2 3
- 37.28 deg, I 8, hkl 2 0 0
- 62.68 deg, I 8, hkl -2 2 3